Fe6O11F: simulated powder diffractogram (CuKα), based on the GGA+U geometry in Alexandria.
Kinematic intensities with the Lorentz-polarization factor, no thermal factor.

```
data_Fe6O11F
_space_group_name_H-M_alt 'P 1'
_space_group_IT_number 1
_space_group_name_Hall 'P 1'
_cell_length_a 4.5569
_cell_length_b 5.4444
_cell_length_c 7.5512
_cell_angle_alpha 85.92
_cell_angle_beta 89.03
_cell_angle_gamma 88.98
loop_
_atom_site_label
_atom_site_type_symbol
_atom_site_fract_x
_atom_site_fract_y
_atom_site_fract_z
Fe1 Fe 0.0000 0.0000 0.0000
Fe2 Fe 0.0008 0.6642 0.3321
Fe3 Fe 0.0209 0.3475 0.6771
Fe4 Fe 0.4901 0.1632 0.3224
Fe5 Fe 0.4981 0.8289 0.6725
Fe6 Fe 0.5045 0.5005 0.0037
O1 O 0.1939 0.0405 0.7706
O2 O 0.1988 0.3706 0.4388
O3 O 0.2005 0.7056 0.1028
O4 O 0.3006 0.2067 0.0961
O5 O 0.3142 0.8744 0.4385
O6 O 0.3190 0.5382 0.7795
O7 O 0.6889 0.4573 0.2299
O8 O 0.7007 0.7948 0.9020
O9 O 0.8042 0.2961 0.9002
O10 O 0.8108 0.9622 0.2310
O11 O 0.8133 0.6323 0.5675
F1 F 0.7017 0.1366 0.5670
```

The 12 most intense peaks (2θ from 10° to 90°), most intense first:
27.3°, intensity 100, hkl 1 1 1; 28.0°, intensity 97, hkl -1 1 1; 35.9°, intensity 54, hkl 1 1 -2; 35.8°, intensity 54, hkl 1 -1 2; 54.9°, intensity 43, hkl 2 0 -3; 54.2°, intensity 30, hkl 2 2 -1; 53.9°, intensity 30, hkl 2 0 3; 69.3°, intensity 22, hkl 3 -1 2; 39.5°, intensity 21, hkl 2 0 0; 69.5°, intensity 20, hkl 3 1 -2; 61.9°, intensity 16, hkl 0 2 -4; 56.4°, intensity 16, hkl 2 2 2